No. 1
Structure and theoretical X-ray diffraction stick pattern of Mg14ZnW (a crystal structure in Alexandria, relaxed with PBE; CuKα).
Lines closer than 0.1° are merged.

Largest 8 diffraction maxima, low angle first, 15° ≤ 2θ ≤ 90°:
two_theta  Rel. int.
16.47  31
18.69  45
24.19  22
33.36  21
35.62  25
37.93  100
49.57  20
65.51  18

```
data_Mg14ZnW
_cell_length_a 10.0813
_cell_length_b 6.1971
_cell_length_c 10.7767
_cell_angle_alpha 90.00
_cell_angle_beta 90.00
_cell_angle_gamma 90.00
_symmetry_space_group_name_H-M 'A m m 2'
_symmetry_Int_Tables_number 38
_symmetry_space_group_name_Hall 'A 2 -2'
loop_
_atom_site_label
_atom_site_type_symbol
_atom_site_fract_x
_atom_site_fract_y
_atom_site_fract_z
Mg1 Mg 0.0000 0.0000 0.0000
Mg2 Mg 0.0000 0.0000 0.4996
Mg3 Mg 0.0000 0.2484 0.2522
Mg4 Mg 0.2511 0.0000 0.6665
Mg5 Mg 0.2587 0.0000 0.1620
Mg6 Mg 0.2669 0.2460 0.9214
Mg7 Mg 0.5000 0.2495 0.2482
Zn1 Zn 0.5000 0.0000 0.5031
W1 W 0.5000 0.0000 0.0023
```

No. 2
Structure and theoretical X-ray diffraction stick pattern of BaLi2AlIn4 (a crystal structure in Alexandria, relaxed with PBE; CuKα).
Lines closer than 0.1° are merged.

Largest 8 diffraction maxima, low angle first, 15° ≤ 2θ ≤ 90°:
two_theta  Rel. int.
21.92  55
24.12  40
25.66  20
29.39  70
31.52  59
36.16  37
37.04  100
58.93  25

```
data_BaLi2AlIn4
_cell_length_a 4.8540
_cell_length_b 4.8540
_cell_length_c 30.7899
_cell_angle_alpha 90.00
_cell_angle_beta 90.00
_cell_angle_gamma 120.00
_symmetry_space_group_name_H-M 'R -3 m'
_symmetry_Int_Tables_number 166
_symmetry_space_group_name_Hall '-R 3 2"'
loop_
_atom_site_label
_atom_site_type_symbol
_atom_site_fract_x
_atom_site_fract_y
_atom_site_fract_z
Ba1 Ba 0.0000 0.0000 0.0000
Li1 Li 0.0000 0.0000 0.2234
Al1 Al 0.0000 0.0000 0.5000
In1 In 0.0000 0.0000 0.1248
In2 In 0.0000 0.0000 0.4066
```

No. 3
Structure and theoretical X-ray diffraction stick pattern of Sm2DyMgHg4 (a crystal structure in Alexandria, relaxed with PBE; CuKα).
Lines closer than 0.1° are merged.

Largest 8 diffraction maxima, low angle first, 15° ≤ 2θ ≤ 90°:
two_theta  Rel. int.
34.02  100
34.40  99
49.16  36
60.63  18
61.37  37
61.62  19
81.91  16
82.57  16

```
data_Sm2DyMgHg4
_cell_length_a 5.2140
_cell_length_b 5.2140
_cell_length_c 25.9679
_cell_angle_alpha 90.00
_cell_angle_beta 90.00
_cell_angle_gamma 120.00
_symmetry_space_group_name_H-M 'R -3 m'
_symmetry_Int_Tables_number 166
_symmetry_space_group_name_Hall '-R 3 2"'
loop_
_atom_site_label
_atom_site_type_symbol
_atom_site_fract_x
_atom_site_fract_y
_atom_site_fract_z
Sm1 Sm 0.0000 0.0000 0.2448
Dy1 Dy 0.0000 0.0000 0.0000
Mg1 Mg 0.0000 0.0000 0.5000
Hg1 Hg 0.0000 0.0000 0.1240
Hg2 Hg 0.0000 0.0000 0.3721
```

No. 4
Structure and theoretical X-ray diffraction stick pattern of La3Zn2Pt4 (a crystal structure in Alexandria, relaxed with PBE; CuKα).
Lines closer than 0.1° are merged.

Largest 8 diffraction maxima, low angle first, 15° ≤ 2θ ≤ 90°:
two_theta  Rel. int.
30.28  30
31.12  84
32.99  85
33.33  26
34.05  85
38.61  100
41.82  56
68.64  26

```
data_La3Zn2Pt4
_cell_length_a 11.5553
_cell_length_b 4.3204
_cell_length_c 8.8991
_cell_angle_alpha 90.00
_cell_angle_beta 115.00
_cell_angle_gamma 90.00
_symmetry_space_group_name_H-M 'C 1 2/m 1'
_symmetry_Int_Tables_number 12
_symmetry_space_group_name_Hall '-C 2y'
loop_
_atom_site_label
_atom_site_type_symbol
_atom_site_fract_x
_atom_site_fract_y
_atom_site_fract_z
La1 La 0.0000 0.0000 0.0000
La2 La 0.1399 0.5000 0.6954
Zn1 Zn 0.1642 0.5000 0.3355
Pt1 Pt 0.0801 0.0000 0.4123
Pt2 Pt 0.2052 0.5000 0.0704
```

No. 5
Structure and theoretical X-ray diffraction stick pattern of Pm2InSn2 (a crystal structure in Alexandria, relaxed with PBE; CuKα).
Lines closer than 0.1° are merged.

Largest 8 diffraction maxima, low angle first, 15° ≤ 2θ ≤ 90°:
two_theta  Rel. int.
29.90  30
32.00  100
35.78  35
39.68  20
51.56  15
54.48  21
66.72  14
67.21  12

```
data_Pm2InSn2
_cell_length_a 7.9358
_cell_length_b 7.9358
_cell_length_c 9.0868
_cell_angle_alpha 90.00
_cell_angle_beta 90.00
_cell_angle_gamma 90.00
_symmetry_space_group_name_H-M 'P 4/m n c'
_symmetry_Int_Tables_number 128
_symmetry_space_group_name_Hall '-P 4 2n'
loop_
_atom_site_label
_atom_site_type_symbol
_atom_site_fract_x
_atom_site_fract_y
_atom_site_fract_z
Pm1 Pm 0.1749 0.3252 0.0000
In1 In 0.0000 0.0000 0.2496
Sn1 Sn 0.1292 0.6292 0.2500
```

No. 6
Structure and theoretical X-ray diffraction stick pattern of ZrPb3 (a crystal structure in Alexandria, relaxed with PBE; CuKα).
Lines closer than 0.1° are merged.

Largest 8 diffraction maxima, low angle first, 15° ≤ 2θ ≤ 90°:
two_theta  Rel. int.
25.72  13
30.85  96
35.31  100
35.41  33
44.11  18
44.26  18
57.76  49
57.92  16

```
data_ZrPb3
_cell_length_a 4.0929
_cell_length_b 4.1062
_cell_length_c 6.4738
_cell_angle_alpha 90.00
_cell_angle_beta 90.17
_cell_angle_gamma 90.00
_symmetry_space_group_name_H-M 'P 1 2/m 1'
_symmetry_Int_Tables_number 10
_symmetry_space_group_name_Hall '-P 2y'
loop_
_atom_site_label
_atom_site_type_symbol
_atom_site_fract_x
_atom_site_fract_y
_atom_site_fract_z
Zr1 Zr 0.0000 0.0000 0.0000
Pb1 Pb 0.0000 0.0000 0.5000
Pb2 Pb 0.5003 0.5000 0.2360
```

No. 7
Structure and theoretical X-ray diffraction stick pattern of Tm6TlIr (a crystal structure in Alexandria, relaxed with PBE; CuKα).
Lines closer than 0.1° are merged.

Largest 8 diffraction maxima, low angle first, 15° ≤ 2θ ≤ 90°:
two_theta  Rel. int.
17.44  26
24.93  33
28.52  25
31.38  63
31.87  24
33.75  100
45.83  34
47.66  38

```
data_Tm6TlIr
_cell_length_a 7.0068
_cell_length_b 11.2328
_cell_length_c 6.6748
_cell_angle_alpha 90.00
_cell_angle_beta 113.12
_cell_angle_gamma 90.00
_symmetry_space_group_name_H-M 'C 1 2/m 1'
_symmetry_Int_Tables_number 12
_symmetry_space_group_name_Hall '-C 2y'
loop_
_atom_site_label
_atom_site_type_symbol
_atom_site_fract_x
_atom_site_fract_y
_atom_site_fract_z
Tm1 Tm 0.2103 0.1937 0.2388
Tm2 Tm 0.2313 0.0000 0.7729
Tl1 Tl 0.0000 0.5000 0.5000
Ir1 Ir 0.0000 0.0000 0.0000
```

No. 8
Structure and theoretical X-ray diffraction stick pattern of BaTb2SmO6 (a crystal structure in Alexandria, relaxed with PBE; CuKα).
Lines closer than 0.1° are merged.

Largest 8 diffraction maxima, low angle first, 15° ≤ 2θ ≤ 90°:
two_theta  Rel. int.
29.01  25
29.24  100
29.92  25
41.48  13
42.16  22
51.56  17
52.69  23
60.63  12

```
data_BaTb2SmO6
_cell_length_a 8.7080
_cell_length_b 5.9732
_cell_length_c 6.1561
_cell_angle_alpha 90.00
_cell_angle_beta 90.00
_cell_angle_gamma 90.00
_symmetry_space_group_name_H-M 'P m c 21'
_symmetry_Int_Tables_number 26
_symmetry_space_group_name_Hall 'P 2c -2'
loop_
_atom_site_label
_atom_site_type_symbol
_atom_site_fract_x
_atom_site_fract_y
_atom_site_fract_z
Ba1 Ba 0.0000 0.2477 0.0000
Tb1 Tb 0.2612 0.2577 0.5290
Sm1 Sm 0.5000 0.2353 0.0885
O1 O 0.0000 0.1992 0.5488
O2 O 0.2395 0.4063 0.1874
O3 O 0.3367 0.0451 0.8194
O4 O 0.5000 0.3951 0.4545
```

Copy entry 4 word for word.
Structure and theoretical X-ray diffraction stick pattern of La3Zn2Pt4 (a crystal structure in Alexandria, relaxed with PBE; CuKα).
Lines closer than 0.1° are merged.

Largest 8 diffraction maxima, low angle first, 15° ≤ 2θ ≤ 90°:
two_theta  Rel. int.
30.28  30
31.12  84
32.99  85
33.33  26
34.05  85
38.61  100
41.82  56
68.64  26

```
data_La3Zn2Pt4
_cell_length_a 11.5553
_cell_length_b 4.3204
_cell_length_c 8.8991
_cell_angle_alpha 90.00
_cell_angle_beta 115.00
_cell_angle_gamma 90.00
_symmetry_space_group_name_H-M 'C 1 2/m 1'
_symmetry_Int_Tables_number 12
_symmetry_space_group_name_Hall '-C 2y'
loop_
_atom_site_label
_atom_site_type_symbol
_atom_site_fract_x
_atom_site_fract_y
_atom_site_fract_z
La1 La 0.0000 0.0000 0.0000
La2 La 0.1399 0.5000 0.6954
Zn1 Zn 0.1642 0.5000 0.3355
Pt1 Pt 0.0801 0.0000 0.4123
Pt2 Pt 0.2052 0.5000 0.0704
```